# KBa3
Calculated powder diffractogram, Cu Kα X-rays. Input: a GGA-PBE-relaxed structure.

a b c (Å): 10.260 10.260 10.260
angles (deg): 90.00 90.00 90.00
Element x y z (fractional)
K  0.000  0.000  0.000
K  0.000  0.500  0.500
K  0.500  0.000  0.500
K  0.500  0.500  0.000
Ba  0.000  0.000  0.500
Ba  0.000  0.500  0.000
Ba  0.250  0.250  0.250
Ba  0.250  0.250  0.750
Ba  0.250  0.750  0.250
Ba  0.250  0.750  0.750
Ba  0.500  0.000  0.000
Ba  0.500  0.500  0.500
Ba  0.750  0.250  0.250
Ba  0.750  0.250  0.750
Ba  0.750  0.750  0.250
Ba  0.750  0.750  0.750

The 12 most intense peaks (2θ = 5–70°), sorted by position:
hkl 1 1 1, 14.96 deg, intensity 8.7
hkl 2 0 0, 17.29 deg, intensity 4.7
hkl 2 2 0, 24.54 deg, intensity 100.0
hkl 3 1 1, 28.86 deg, intensity 5.6
hkl 4 0 0, 34.98 deg, intensity 19.7
hkl 3 3 1, 38.24 deg, intensity 2.7
hkl 4 2 0, 39.27 deg, intensity 2.5
hkl 4 2 2, 43.20 deg, intensity 43.1
hkl 4 4 0, 50.31 deg, intensity 13.7
hkl 6 2 0, 56.74 deg, intensity 19.1
hkl 4 4 4, 62.74 deg, intensity 4.7
hkl 6 4 2, 68.43 deg, intensity 21.8